Computed XRD peak list of Li3Co2Si2O8 for Cu Kα X-rays, from a structure optimized by DFT (GGA+U).
Kinematic intensities with the Lorentz-polarization factor, no thermal factor.

Structure:
Cell lengths 5.037, 6.444, 10.671 Å; angles 90.00, 90.45, 90.00 degrees
Fractional coordinates of all 30 atoms:
Li 0.000 0.013 0.000
Li 0.000 0.987 0.500
Li 0.007 0.254 0.234
Li 0.007 0.746 0.734
Li 0.510 0.263 0.918
Li 0.510 0.737 0.418
Co 0.022 0.263 0.741
Co 0.022 0.737 0.241
Co 0.501 0.240 0.408
Co 0.501 0.760 0.908
Si 0.005 0.494 0.488
Si 0.005 0.506 0.988
Si 0.521 0.014 0.670
Si 0.521 0.986 0.170
O 0.329 0.476 0.461
O 0.329 0.524 0.961
O 0.406 0.210 0.747
O 0.406 0.790 0.247
O 0.409 0.199 0.241
O 0.409 0.801 0.741
O 0.413 0.014 0.520
O 0.413 0.986 0.020
O 0.847 0.007 0.670
O 0.847 0.993 0.170
O 0.877 0.280 0.420
O 0.877 0.720 0.920
O 0.902 0.290 0.921
O 0.902 0.710 0.421
O 0.946 0.499 0.136
O 0.946 0.501 0.636

Main lines, in order of falling intensity (10° ≤ 2θ ≤ 90°):
2theta, I (rel.), (hkl)
23.93, 100, 1 1 1
32.46, 53, 0 2 2
16.07, 51, 0 1 1
22.40, 50, 1 1 0
35.65, 49, 2 0 0
28.67, 43, 0 1 3
33.59, 31, 0 0 4
21.62, 31, 0 1 2
59.35, 28, 0 2 6
37.10, 23, 1 2 -2